SrSbOs2: simulated powder diffraction line list (CuKα), based on a crystal structure in Alexandria, relaxed with GGA-PBE.
Intensities are scaled so that the largest is 100.

Atomic structure:
```
SrSbOs2
1.0
4.3619 0.0000 0.0000
-2.1809 3.7775 0.0000
0.0000 0.0000 17.6874
Sr Sb Os
3 3 6
direct
0.0000 0.0000 0.0000 Sr
0.3333 0.6667 0.6667 Sr
0.6667 0.3333 0.3333 Sr
0.0000 0.0000 0.2023 Sb
0.3333 0.6667 0.8690 Sb
0.6667 0.3333 0.5357 Sb
0.0000 0.0000 0.4634 Os
0.0000 0.0000 0.7936 Os
0.3333 0.6667 0.1300 Os
0.3333 0.6667 0.4602 Os
0.6667 0.3333 0.1269 Os
0.6667 0.3333 0.7967 Os
```

Peak list (8 most intense, 2θ = 10–80°, sorted by position)
2θ (°)	intensity
15.03	100
30.32	15
31.14	57
34.74	43
41.40	75
44.28	41
52.17	21
63.75	20

---

AcTi3P4N12: simulated powder diffraction line list (CuKα), based on a crystal structure in Alexandria, relaxed with GGA-PBE.
Intensities are scaled so that the largest is 100.

Atomic structure:
```
AcTi3P4N12
1.0
5.2053 3.0053 2.6379
-5.2053 3.0053 2.6379
0.0000 -6.0105 2.6379
Ac Ti P N
1 3 4 12
direct
0.0000 0.0000 0.0000 Ac
0.0000 0.5599 0.4401 Ti
0.4401 0.0000 0.5599 Ti
0.5599 0.4401 0.0000 Ti
0.0623 0.5000 0.9377 P
0.5000 0.5000 0.5000 P
0.5000 0.9377 0.0623 P
0.9377 0.0623 0.5000 P
0.0342 0.6241 0.7622 N
0.0890 0.9110 0.5000 N
0.2378 0.3759 0.9658 N
0.3481 0.6519 0.5000 N
0.3759 0.9658 0.2378 N
0.5000 0.0890 0.9110 N
0.5000 0.3481 0.6519 N
0.6241 0.7622 0.0342 N
0.6519 0.5000 0.3481 N
0.7622 0.0342 0.6241 N
0.9110 0.5000 0.0890 N
0.9658 0.2378 0.3759 N
```

Peak list (8 most intense, 2θ = 10–80°, sorted by position)
2θ (°)	intensity
14.90	57
17.03	34
22.70	41
28.52	38
29.73	28
30.05	100
34.46	34
34.74	31

---

SiBiP2O8: simulated powder diffraction line list (CuKα), based on a crystal structure in Alexandria, relaxed with GGA-PBE.
Intensities are scaled so that the largest is 100.

Atomic structure:
```
SiBiP2O8
1.0
4.0168 -2.5052 0.0000
4.0168 2.5052 0.0000
-0.2696 0.0000 7.6304
Si Bi P O
1 1 2 8
direct
0.0000 0.0000 0.0000 Si
0.0000 0.0000 0.5000 Bi
0.3426 0.3426 0.8074 P
0.6574 0.6574 0.1926 P
0.2040 0.7087 0.8325 O
0.2096 0.2096 0.9458 O
0.2743 0.2743 0.6184 O
0.2913 0.7960 0.1675 O
0.7087 0.2040 0.8325 O
0.7257 0.7257 0.3816 O
0.7904 0.7904 0.0542 O
0.7960 0.2913 0.1675 O
```

Peak list (8 most intense, 2θ = 10–80°, sorted by position)
2θ (°)	intensity
11.60	36
20.90	82
22.14	36
23.77	100
25.43	38
31.21	45
31.80	80
38.12	36

---

Ac4NiI5: simulated powder diffraction line list (CuKα), based on a crystal structure in Alexandria, relaxed with GGA-PBE.
Intensities are scaled so that the largest is 100.

Atomic structure:
```
Ac4NiI5
1.0
10.4814 -2.1855 0.0000
10.4814 2.1855 0.0000
-2.2963 0.0000 9.3755
Ac Ni I
4 1 5
direct
0.0013 0.0013 0.2948 Ac
0.3533 0.3533 0.4150 Ac
0.6467 0.6467 0.5850 Ac
0.9987 0.9987 0.7052 Ac
0.5000 0.5000 0.5000 Ni
0.1665 0.1665 0.8602 I
0.1768 0.1768 0.3297 I
0.5000 0.5000 0.0000 I
0.8232 0.8232 0.6703 I
0.8335 0.8335 0.1398 I
```

Peak list (8 most intense, 2θ = 10–80°, sorted by position)
2θ (°)	intensity
26.26	53
27.18	18
27.53	100
30.01	19
38.31	33
38.52	36
41.31	20
49.62	19

---

Rb3TaCl2F6: simulated powder diffraction line list (CuKα), based on a crystal structure in Alexandria, relaxed with GGA-PBE.
Intensities are scaled so that the largest is 100.

Atomic structure:
```
Rb3TaCl2F6
1.0
8.0983 -4.0065 0.0000
8.0983 4.0065 0.0000
-0.0584 0.0000 4.9194
Rb Ta Cl F
3 1 2 6
direct
0.0000 0.0000 0.0000 Rb
0.0000 0.5000 0.5000 Rb
0.5000 0.0000 0.5000 Rb
0.5000 0.5000 0.5000 Ta
0.1942 0.1942 0.9858 Cl
0.8058 0.8058 0.0142 Cl
0.2871 0.6348 0.7373 F
0.3652 0.7129 0.2627 F
0.3924 0.3924 0.3272 F
0.6076 0.6076 0.6728 F
0.6348 0.2871 0.7373 F
0.7129 0.3652 0.2627 F
```

Peak list (8 most intense, 2θ = 10–80°, sorted by position)
2θ (°)	intensity
12.32	33
21.85	52
21.95	100
24.79	46
30.75	32
35.18	20
38.76	21
40.29	21

---

Cu4PtO5: simulated powder diffraction line list (CuKα), based on a crystal structure in Alexandria, relaxed with GGA-PBE.
Intensities are scaled so that the largest is 100.

Atomic structure:
```
Cu4PtO5
1.0
6.0269 0.0000 0.0000
0.0000 2.9308 0.0000
-1.6130 0.0000 13.1310
Cu Pt O
8 2 10
direct
0.0000 0.0000 0.0000 Cu
0.0972 0.5000 0.4041 Cu
0.2000 0.0000 0.7979 Cu
0.3993 0.0000 0.5990 Cu
0.5000 0.5000 0.0000 Cu
0.6007 0.0000 0.4010 Cu
0.8000 0.0000 0.2021 Cu
0.9028 0.5000 0.5959 Cu
0.2998 0.5000 0.2019 Pt
0.7002 0.5000 0.7981 Pt
0.0047 0.5000 0.7448 O
0.2001 0.5000 0.0482 O
0.2018 0.5000 0.5508 O
0.3948 0.5000 0.8513 O
0.3976 0.5000 0.3556 O
0.6024 0.5000 0.6444 O
0.6052 0.5000 0.1487 O
0.7982 0.5000 0.4492 O
0.7999 0.5000 0.9518 O
0.9953 0.5000 0.2552 O
```

Peak list (8 most intense, 2θ = 10–80°, sorted by position)
2θ (°)	intensity
34.14	55
34.18	54
34.43	40
35.13	100
42.88	41
56.08	34
56.14	33
72.37	22

---

TbPr2Ho4Th: simulated powder diffraction line list (CuKα), based on a crystal structure in Alexandria, relaxed with GGA-PBE.
Intensities are scaled so that the largest is 100.

Atomic structure:
```
TbPr2Ho4Th
1.0
6.8208 -6.6575 0.0000
6.8208 6.6575 0.0000
-3.4033 0.0000 5.9029
Tb Pr Ho Th
2 4 8 2
direct
0.0000 0.0000 0.0000 Tb
0.0000 0.0000 0.5000 Tb
0.0000 0.5000 0.0000 Pr
0.5000 0.0000 0.5000 Pr
0.5000 0.5000 0.0000 Pr
0.5000 0.5000 0.5000 Pr
0.2460 0.2475 0.4975 Ho
0.2462 0.7539 0.5076 Ho
0.2461 0.7538 0.9924 Ho
0.2475 0.2460 0.9975 Ho
0.7525 0.7540 0.0025 Ho
0.7539 0.2462 0.0076 Ho
0.7538 0.2461 0.4924 Ho
0.7540 0.7525 0.5025 Ho
0.0000 0.5000 0.5000 Th
0.5000 0.0000 0.0000 Th
```

Peak list (8 most intense, 2θ = 10–80°, sorted by position)
2θ (°)	intensity
26.78	46
30.27	100
40.85	89
53.78	20
61.08	27
62.99	8
64.24	23
69.68	18

---

Al3Se2: simulated powder diffraction line list (CuKα), based on a crystal structure in Alexandria, relaxed with GGA-PBE.
Intensities are scaled so that the largest is 100.

Atomic structure:
```
Al3Se2
1.0
3.7446 0.0000 0.0000
-1.8723 3.2429 0.0000
0.0000 0.0000 24.9691
Al Se
9 6
direct
0.0000 0.0000 0.0000 Al
0.0000 0.0000 0.2004 Al
0.0000 0.0000 0.7996 Al
0.3333 0.6667 0.4663 Al
0.3333 0.6667 0.6667 Al
0.3333 0.6667 0.8671 Al
0.6667 0.3333 0.1329 Al
0.6667 0.3333 0.3333 Al
0.6667 0.3333 0.5337 Al
0.0000 0.0000 0.3982 Se
0.0000 0.0000 0.6018 Se
0.3333 0.6667 0.0648 Se
0.3333 0.6667 0.2685 Se
0.6667 0.3333 0.7315 Se
0.6667 0.3333 0.9352 Se
```

Peak list (8 most intense, 2θ = 10–80°, sorted by position)
2θ (°)	intensity
10.63	11
27.74	19
31.08	16
32.93	100
45.87	38
48.63	33
59.99	17
76.59	16